Diffraction record for Li2Cr3FeO8. The X-ray diffraction stick pattern is simulated, not measured: it uses a GGA+U-relaxed structure and Cu Kα, 1.54184 Å.

Cell and atoms:
abc: 5.882 5.882 9.546
angles: 90.28 90.28 119.97
Positions (direct):
Li 0.001 0.999 0.500
Li 0.326 0.654 0.401
Li 0.654 0.326 0.901
Li 0.999 0.001 0.000
Cr 0.162 0.332 0.717
Cr 0.162 0.825 0.717
Cr 0.332 0.162 0.217
Cr 0.655 0.825 0.718
Cr 0.825 0.162 0.217
Cr 0.825 0.655 0.218
Fe 0.332 0.669 0.992
Fe 0.669 0.332 0.492
O 0.030 0.515 0.835
O 0.159 0.324 0.111
O 0.167 0.843 0.106
O 0.323 0.659 0.608
O 0.324 0.159 0.611
O 0.464 0.507 0.841
O 0.464 0.956 0.839
O 0.507 0.464 0.341
O 0.515 0.030 0.335
O 0.659 0.323 0.108
O 0.672 0.844 0.105
O 0.843 0.167 0.606
O 0.844 0.672 0.605
O 0.956 0.464 0.339
O 0.997 0.998 0.815
O 0.998 0.997 0.315

Peak list (10 most intense, 2θ = 10–80°, by intensity)
2θ = 19.7°, I = 100
2θ = 18.6°, I = 84
2θ = 63.2°, I = 56
2θ = 36.5°, I = 44
2θ = 19.8°, I = 43
2θ = 35.8°, I = 41
2θ = 36.0°, I = 40
2θ = 45.4°, I = 30
2θ = 45.6°, I = 26
2θ = 45.8°, I = 25